Diffraction record for Ac2Pm5Y6. The powder diffractogram is theoretical, not measured: it uses a cell relaxed with PBE and CuKα.
Peak positions follow from Bragg's law for the DFT cell and can differ from measured ones.

Peak list (6 most intense, 10 to 90 degrees two-theta, sorted by position)
| two_theta | I (rel.) |
| --- | --- |
| 29.9 | 51 |
| 30.7 | 53 |
| 31.0 | 28 |
| 31.1 | 53 |
| 31.3 | 100 |
| 33.3 | 30 |

Structural model:
```
data_Ac2Pm5Y6
_chemical_formula_sum 'Ac4 Pm10 Y12'
_cell_length_a 12.067
_cell_length_b 20.732
_cell_length_c 3.678
_cell_angle_alpha 90.00
_cell_angle_beta 90.00
_cell_angle_gamma 90.00
_symmetry_space_group_name_H-M 'P 1'
_symmetry_Int_Tables_number 1
_symmetry_space_group_name_Hall 'P 1'
loop_
_atom_site_label
_atom_site_fract_x
_atom_site_fract_y
_atom_site_fract_z
_atom_site_occupancy
Ac1 0.162 0.221 0.000 1
Ac2 0.338 0.721 0.000 1
Ac3 0.662 0.279 0.000 1
Ac4 0.838 0.779 0.000 1
Pm1 0.000 0.500 0.500 1
Pm2 0.098 0.783 0.500 1
Pm3 0.202 0.051 0.500 1
Pm4 0.298 0.551 0.500 1
Pm5 0.402 0.283 0.500 1
Pm6 0.500 0.000 0.500 1
Pm7 0.598 0.717 0.500 1
Pm8 0.702 0.449 0.500 1
Pm9 0.798 0.949 0.500 1
Pm10 0.902 0.217 0.500 1
Y1 0.059 0.925 0.000 1
Y2 0.074 0.638 0.000 1
Y3 0.182 0.380 0.500 1
Y4 0.318 0.880 0.500 1
Y5 0.426 0.138 0.000 1
Y6 0.441 0.425 0.000 1
Y7 0.559 0.575 0.000 1
Y8 0.574 0.862 0.000 1
Y9 0.682 0.120 0.500 1
Y10 0.818 0.620 0.500 1
Y11 0.926 0.362 0.000 1
Y12 0.941 0.075 0.000 1
```

=====

Diffraction record for Sr2Eu3Ge10. The powder diffractogram is theoretical, not measured: it uses a cell relaxed with PBE and CuKα.
Peak positions follow from Bragg's law for the DFT cell and can differ from measured ones.

Peak list (6 most intense, 10 to 90 degrees two-theta, sorted by position)
| two_theta | I (rel.) |
| --- | --- |
| 30.6 | 100 |
| 43.3 | 37 |
| 44.5 | 20 |
| 54.0 | 20 |
| 57.8 | 12 |
| 71.6 | 17 |

Structural model:
```
data_Sr2Eu3Ge10
_chemical_formula_sum 'Sr2 Eu3 Ge10'
_cell_length_a 4.179
_cell_length_b 4.179
_cell_length_c 24.659
_cell_angle_alpha 90.00
_cell_angle_beta 90.00
_cell_angle_gamma 120.00
_symmetry_space_group_name_H-M 'P 1'
_symmetry_Int_Tables_number 1
_symmetry_space_group_name_Hall 'P 1'
loop_
_atom_site_label
_atom_site_fract_x
_atom_site_fract_y
_atom_site_fract_z
_atom_site_occupancy
Sr1 0.000 0.000 0.104 1
Sr2 0.000 0.000 0.896 1
Eu1 0.000 0.000 0.306 1
Eu2 0.000 0.000 0.500 1
Eu3 0.000 0.000 0.694 1
Ge1 0.333 0.667 0.189 1
Ge2 0.333 0.667 0.384 1
Ge3 0.333 0.667 0.578 1
Ge4 0.333 0.667 0.772 1
Ge5 0.333 0.667 0.980 1
Ge6 0.667 0.333 0.020 1
Ge7 0.667 0.333 0.228 1
Ge8 0.667 0.333 0.422 1
Ge9 0.667 0.333 0.616 1
Ge10 0.667 0.333 0.811 1
```

=====

Diffraction record for CeAl2ZnCu2. The powder diffractogram is theoretical, not measured: it uses a cell relaxed with PBE and CuKα.
Peak positions follow from Bragg's law for the DFT cell and can differ from measured ones.

Peak list (6 most intense, 10 to 90 degrees two-theta, sorted by position)
| two_theta | I (rel.) |
| --- | --- |
| 19.9 | 85 |
| 31.5 | 50 |
| 32.5 | 93 |
| 37.5 | 100 |
| 40.5 | 94 |
| 56.4 | 60 |

Structural model:
```
data_CeAl2ZnCu2
_chemical_formula_sum 'Ce1 Al2 Zn1 Cu2'
_cell_length_a 4.456
_cell_length_b 4.456
_cell_length_c 5.682
_cell_angle_alpha 90.00
_cell_angle_beta 90.00
_cell_angle_gamma 90.00
_symmetry_space_group_name_H-M 'P 1'
_symmetry_Int_Tables_number 1
_symmetry_space_group_name_Hall 'P 1'
loop_
_atom_site_label
_atom_site_fract_x
_atom_site_fract_y
_atom_site_fract_z
_atom_site_occupancy
Ce1 0.000 0.000 0.000 1
Al1 0.500 0.500 0.241 1
Al2 0.500 0.500 0.759 1
Zn1 0.000 0.000 0.500 1
Cu1 0.000 0.500 0.500 1
Cu2 0.500 0.000 0.500 1
```

=====

Diffraction record for TlV2Sn2. The powder diffractogram is theoretical, not measured: it uses a cell relaxed with PBE and CuKα.
Peak positions follow from Bragg's law for the DFT cell and can differ from measured ones.

Peak list (6 most intense, 10 to 90 degrees two-theta, sorted by position)
| two_theta | I (rel.) |
| --- | --- |
| 29.5 | 56 |
| 34.3 | 100 |
| 36.5 | 97 |
| 38.9 | 87 |
| 59.0 | 32 |
| 64.1 | 40 |

Structural model:
```
data_TlV2Sn2
_chemical_formula_sum 'Tl2 V4 Sn4'
_cell_length_a 7.322
_cell_length_b 7.322
_cell_length_c 3.732
_cell_angle_alpha 90.00
_cell_angle_beta 90.00
_cell_angle_gamma 90.00
_symmetry_space_group_name_H-M 'P 1'
_symmetry_Int_Tables_number 1
_symmetry_space_group_name_Hall 'P 1'
loop_
_atom_site_label
_atom_site_fract_x
_atom_site_fract_y
_atom_site_fract_z
_atom_site_occupancy
Tl1 0.000 0.000 0.000 1
Tl2 0.500 0.500 0.000 1
V1 0.120 0.380 0.000 1
V2 0.380 0.880 0.000 1
V3 0.620 0.120 0.000 1
V4 0.880 0.620 0.000 1
Sn1 0.168 0.668 0.500 1
Sn2 0.332 0.168 0.500 1
Sn3 0.668 0.832 0.500 1
Sn4 0.832 0.332 0.500 1
```

=====

Diffraction record for Pr4Dy10Y. The powder diffractogram is theoretical, not measured: it uses a cell relaxed with PBE and CuKα.
Peak positions follow from Bragg's law for the DFT cell and can differ from measured ones.

Peak list (6 most intense, 10 to 90 degrees two-theta, sorted by position)
| two_theta | I (rel.) |
| --- | --- |
| 19.8 | 20 |
| 22.9 | 21 |
| 32.6 | 100 |
| 46.8 | 12 |
| 58.2 | 38 |
| 68.3 | 12 |

Structural model:
```
data_Pr4Dy10Y
_chemical_formula_sum 'Pr4 Dy10 Y1'
_cell_length_a 9.506
_cell_length_b 9.506
_cell_length_c 9.506
_cell_angle_alpha 99.63
_cell_angle_beta 99.63
_cell_angle_gamma 131.72
_symmetry_space_group_name_H-M 'P 1'
_symmetry_Int_Tables_number 1
_symmetry_space_group_name_Hall 'P 1'
loop_
_atom_site_label
_atom_site_fract_x
_atom_site_fract_y
_atom_site_fract_z
_atom_site_occupancy
Pr1 0.101 0.299 0.400 1
Pr2 0.299 0.899 0.198 1
Pr3 0.701 0.101 0.802 1
Pr4 0.899 0.701 0.600 1
Dy1 0.053 0.153 0.702 1
Dy2 0.153 0.451 0.101 1
Dy3 0.250 0.750 0.500 1
Dy4 0.350 0.053 0.899 1
Dy5 0.451 0.350 0.298 1
Dy6 0.549 0.650 0.702 1
Dy7 0.650 0.947 0.101 1
Dy8 0.750 0.250 0.500 1
Dy9 0.847 0.549 0.899 1
Dy10 0.947 0.847 0.298 1
Y1 0.500 0.500 0.000 1
```

=====

Diffraction record for Ba4Mg. The powder diffractogram is theoretical, not measured: it uses a cell relaxed with PBE and CuKα.
Peak positions follow from Bragg's law for the DFT cell and can differ from measured ones.

Peak list (6 most intense, 10 to 90 degrees two-theta, sorted by position)
| two_theta | I (rel.) |
| --- | --- |
| 21.5 | 81 |
| 23.3 | 38 |
| 27.1 | 100 |
| 28.5 | 31 |
| 30.2 | 25 |
| 46.6 | 34 |

Structural model:
```
data_Ba4Mg
_chemical_formula_sum 'Ba8 Mg2'
_cell_length_a 8.264
_cell_length_b 8.264
_cell_length_c 11.845
_cell_angle_alpha 90.00
_cell_angle_beta 90.00
_cell_angle_gamma 135.52
_symmetry_space_group_name_H-M 'P 1'
_symmetry_Int_Tables_number 1
_symmetry_space_group_name_Hall 'P 1'
loop_
_atom_site_label
_atom_site_fract_x
_atom_site_fract_y
_atom_site_fract_z
_atom_site_occupancy
Ba1 0.112 0.888 0.864 1
Ba2 0.114 0.886 0.382 1
Ba3 0.386 0.614 0.382 1
Ba4 0.388 0.612 0.864 1
Ba5 0.612 0.388 0.136 1
Ba6 0.614 0.386 0.618 1
Ba7 0.886 0.114 0.618 1
Ba8 0.888 0.112 0.136 1
Mg1 0.250 0.750 0.116 1
Mg2 0.750 0.250 0.884 1
```

=====

Diffraction record for RbCd2Au. The powder diffractogram is theoretical, not measured: it uses a cell relaxed with PBE and CuKα.
Peak positions follow from Bragg's law for the DFT cell and can differ from measured ones.

Peak list (6 most intense, 10 to 90 degrees two-theta, sorted by position)
| two_theta | I (rel.) |
| --- | --- |
| 13.9 | 100 |
| 28.1 | 38 |
| 30.1 | 67 |
| 37.6 | 31 |
| 37.9 | 66 |
| 43.1 | 41 |

Structural model:
```
data_RbCd2Au
_chemical_formula_sum 'Rb4 Cd8 Au4'
_cell_length_a 4.784
_cell_length_b 12.736
_cell_length_c 8.384
_cell_angle_alpha 90.00
_cell_angle_beta 90.00
_cell_angle_gamma 90.00
_symmetry_space_group_name_H-M 'P 1'
_symmetry_Int_Tables_number 1
_symmetry_space_group_name_Hall 'P 1'
loop_
_atom_site_label
_atom_site_fract_x
_atom_site_fract_y
_atom_site_fract_z
_atom_site_occupancy
Rb1 0.000 0.042 0.250 1
Rb2 0.000 0.958 0.750 1
Rb3 0.500 0.458 0.750 1
Rb4 0.500 0.542 0.250 1
Cd1 0.000 0.315 0.069 1
Cd2 0.000 0.315 0.431 1
Cd3 0.000 0.685 0.569 1
Cd4 0.000 0.685 0.931 1
Cd5 0.500 0.185 0.569 1
Cd6 0.500 0.185 0.931 1
Cd7 0.500 0.815 0.069 1
Cd8 0.500 0.815 0.431 1
Au1 0.000 0.235 0.750 1
Au2 0.000 0.765 0.250 1
Au3 0.500 0.265 0.250 1
Au4 0.500 0.735 0.750 1
```

=====

Diffraction record for NaNd2YTe4. The powder diffractogram is theoretical, not measured: it uses a cell relaxed with PBE and CuKα.
Peak positions follow from Bragg's law for the DFT cell and can differ from measured ones.

Peak list (6 most intense, 10 to 90 degrees two-theta, sorted by position)
| two_theta | I (rel.) |
| --- | --- |
| 28.2 | 100 |
| 40.0 | 13 |
| 40.4 | 50 |
| 49.7 | 14 |
| 50.3 | 13 |
| 66.1 | 17 |

Structural model:
```
data_NaNd2YTe4
_chemical_formula_sum 'Na1 Nd2 Y1 Te4'
_cell_length_a 7.749
_cell_length_b 4.438
_cell_length_c 7.758
_cell_angle_alpha 90.00
_cell_angle_beta 108.98
_cell_angle_gamma 90.00
_symmetry_space_group_name_H-M 'P 1'
_symmetry_Int_Tables_number 1
_symmetry_space_group_name_Hall 'P 1'
loop_
_atom_site_label
_atom_site_fract_x
_atom_site_fract_y
_atom_site_fract_z
_atom_site_occupancy
Na1 0.000 0.000 0.000 1
Nd1 0.000 0.500 0.500 1
Nd2 0.500 0.000 0.500 1
Y1 0.500 0.500 0.000 1
Te1 0.251 0.500 0.243 1
Te2 0.254 0.000 0.760 1
Te3 0.746 0.000 0.240 1
Te4 0.749 0.500 0.757 1
```

=====

Diffraction record for KRb4. The powder diffractogram is theoretical, not measured: it uses a cell relaxed with PBE and CuKα.
Peak positions follow from Bragg's law for the DFT cell and can differ from measured ones.

Peak list (6 most intense, 10 to 90 degrees two-theta, sorted by position)
| two_theta | I (rel.) |
| --- | --- |
| 18.4 | 40 |
| 21.3 | 20 |
| 21.6 | 21 |
| 22.9 | 100 |
| 23.9 | 27 |
| 37.2 | 20 |

Structural model:
```
data_KRb4
_chemical_formula_sum 'K2 Rb8'
_cell_length_a 8.777
_cell_length_b 13.106
_cell_length_c 8.389
_cell_angle_alpha 90.00
_cell_angle_beta 111.55
_cell_angle_gamma 90.00
_symmetry_space_group_name_H-M 'P 1'
_symmetry_Int_Tables_number 1
_symmetry_space_group_name_Hall 'P 1'
loop_
_atom_site_label
_atom_site_fract_x
_atom_site_fract_y
_atom_site_fract_z
_atom_site_occupancy
K1 0.000 0.109 0.250 1
K2 0.000 0.891 0.750 1
Rb1 0.246 0.420 0.486 1
Rb2 0.246 0.580 0.986 1
Rb3 0.328 0.172 0.938 1
Rb4 0.328 0.828 0.438 1
Rb5 0.672 0.172 0.562 1
Rb6 0.672 0.828 0.062 1
Rb7 0.754 0.420 0.014 1
Rb8 0.754 0.580 0.514 1
```

=====

Diffraction record for SrCaTiP2O8. The powder diffractogram is theoretical, not measured: it uses a cell relaxed with PBE and CuKα.
Peak positions follow from Bragg's law for the DFT cell and can differ from measured ones.

Peak list (6 most intense, 10 to 90 degrees two-theta, sorted by position)
| two_theta | I (rel.) |
| --- | --- |
| 28.0 | 30 |
| 28.2 | 100 |
| 29.8 | 75 |
| 30.1 | 49 |
| 31.3 | 65 |
| 32.7 | 55 |

Structural model:
```
data_SrCaTiP2O8
_chemical_formula_sum 'Sr2 Ca2 Ti2 P4 O16'
_cell_length_a 5.767
_cell_length_b 6.859
_cell_length_c 9.650
_cell_angle_alpha 108.37
_cell_angle_beta 104.07
_cell_angle_gamma 97.90
_symmetry_space_group_name_H-M 'P 1'
_symmetry_Int_Tables_number 1
_symmetry_space_group_name_Hall 'P 1'
loop_
_atom_site_label
_atom_site_fract_x
_atom_site_fract_y
_atom_site_fract_z
_atom_site_occupancy
Sr1 0.220 0.200 0.440 1
Sr2 0.780 0.800 0.560 1
Ca1 0.500 0.421 0.162 1
Ca2 0.500 0.579 0.838 1
Ti1 0.103 0.882 0.048 1
Ti2 0.897 0.118 0.952 1
P1 0.110 0.590 0.275 1
P2 0.350 0.037 0.794 1
P3 0.650 0.963 0.206 1
P4 0.890 0.410 0.725 1
O1 0.065 0.415 0.114 1
O2 0.107 0.451 0.663 1
O3 0.137 0.946 0.850 1
O4 0.141 0.807 0.256 1
O5 0.245 0.007 0.626 1
O6 0.354 0.569 0.378 1
O7 0.448 0.094 0.186 1
O8 0.473 0.268 0.905 1
O9 0.527 0.732 0.095 1
O10 0.552 0.906 0.814 1
O11 0.646 0.431 0.622 1
O12 0.755 0.993 0.374 1
O13 0.859 0.193 0.744 1
O14 0.863 0.054 0.150 1
O15 0.893 0.549 0.337 1
O16 0.935 0.585 0.886 1
```

=====

Diffraction record for YHo5Sc. The powder diffractogram is theoretical, not measured: it uses a cell relaxed with PBE and CuKα.
Peak positions follow from Bragg's law for the DFT cell and can differ from measured ones.

Peak list (6 most intense, 10 to 90 degrees two-theta, sorted by position)
| two_theta | I (rel.) |
| --- | --- |
| 31.7 | 100 |
| 31.8 | 64 |
| 31.9 | 17 |
| 34.2 | 60 |
| 52.0 | 20 |
| 59.8 | 19 |

Structural model:
```
data_YHo5Sc
_chemical_formula_sum 'Y2 Ho10 Sc2'
_cell_length_a 5.912
_cell_length_b 5.912
_cell_length_c 12.811
_cell_angle_alpha 90.05
_cell_angle_beta 90.05
_cell_angle_gamma 78.50
_symmetry_space_group_name_H-M 'P 1'
_symmetry_Int_Tables_number 1
_symmetry_space_group_name_Hall 'P 1'
loop_
_atom_site_label
_atom_site_fract_x
_atom_site_fract_y
_atom_site_fract_z
_atom_site_occupancy
Y1 0.194 0.806 0.750 1
Y2 0.806 0.194 0.250 1
Ho1 0.079 0.324 0.613 1
Ho2 0.079 0.325 0.886 1
Ho3 0.324 0.079 0.113 1
Ho4 0.325 0.079 0.386 1
Ho5 0.401 0.599 0.250 1
Ho6 0.599 0.401 0.750 1
Ho7 0.675 0.921 0.614 1
Ho8 0.676 0.921 0.887 1
Ho9 0.921 0.675 0.114 1
Ho10 0.921 0.676 0.387 1
Sc1 0.500 0.500 0.000 1
Sc2 0.500 0.500 0.500 1
```

=====

Diffraction record for PmDy2Y4Mg. The powder diffractogram is theoretical, not measured: it uses a cell relaxed with PBE and CuKα.
Peak positions follow from Bragg's law for the DFT cell and can differ from measured ones.

Peak list (6 most intense, 10 to 90 degrees two-theta, sorted by position)
| two_theta | I (rel.) |
| --- | --- |
| 31.2 | 55 |
| 32.2 | 100 |
| 44.7 | 20 |
| 56.1 | 40 |
| 57.9 | 18 |
| 67.3 | 12 |

Structural model:
```
data_PmDy2Y4Mg
_chemical_formula_sum 'Pm1 Dy2 Y4 Mg1'
_cell_length_a 5.735
_cell_length_b 5.735
_cell_length_c 7.653
_cell_angle_alpha 90.00
_cell_angle_beta 90.00
_cell_angle_gamma 90.00
_symmetry_space_group_name_H-M 'P 1'
_symmetry_Int_Tables_number 1
_symmetry_space_group_name_Hall 'P 1'
loop_
_atom_site_label
_atom_site_fract_x
_atom_site_fract_y
_atom_site_fract_z
_atom_site_occupancy
Pm1 0.000 0.000 0.000 1
Dy1 0.000 0.000 0.500 1
Dy2 0.500 0.500 0.500 1
Y1 0.000 0.500 0.241 1
Y2 0.000 0.500 0.759 1
Y3 0.500 0.000 0.241 1
Y4 0.500 0.000 0.759 1
Mg1 0.500 0.500 0.000 1
```